Diffraction record for UNbPd14. The powder diffraction line list is calculated, not measured: it uses a cell relaxed with GGA-PBE and Cu Kα (λ = 1.5418 Å).
Intensities are scaled so that the largest is 1000.

Structural model:
```
UNbPd14
1.0
5.7239 0.0000 0.0000
0.0000 5.7239 0.0000
0.0000 0.0000 7.7975
U Nb Pd
1 1 14
Direct
0.0000 0.0000 0.0000
0.5000 0.5000 0.0000
0.0000 0.0000 0.5000
0.0000 0.5000 0.0000
0.0000 0.5000 0.5000
0.2514 0.2514 0.2454
0.2514 0.2514 0.7546
0.2514 0.7486 0.2454
0.2514 0.7486 0.7546
0.5000 0.0000 0.0000
0.5000 0.0000 0.5000
0.5000 0.5000 0.5000
0.7486 0.2514 0.2454
0.7486 0.2514 0.7546
0.7486 0.7486 0.2454
0.7486 0.7486 0.7546
```

Top 12 peaks for 2θ from 10° to 90°, by angle:
- d 7.798, I 22
- d 5.724, I 20
- d 4.614, I 28
- d 3.222, I 14
- d 2.307, I 1000
- d 2.024, I 338
- d 1.949, I 149
- d 1.431, I 108
- d 1.404, I 202
- d 1.216, I 252
- d 1.183, I 115
- d 1.154, I 107